Entry 1:
KTcI3: computed PXRD pattern (Cu Kα (λ = 1.5418 Å)), based on a crystal structure in Alexandria, relaxed with PBE.
Intensities are scaled so that the largest is 100.

Structure:
Lattice parameters (Å, degrees): 10.803 10.803 9.980 97.70 97.70 20.35
Atoms (fractional coordinates):
K (0.086, 0.086, 0.111)
K (0.914, 0.914, 0.889)
Tc (0.278, 0.280, 0.542)
Tc (0.720, 0.722, 0.458)
I (0.124, 0.127, 0.486)
I (0.268, 0.270, 0.803)
I (0.455, 0.455, 0.185)
I (0.545, 0.545, 0.815)
I (0.730, 0.732, 0.197)
I (0.873, 0.876, 0.514)

Most intense lines, 2θ = 15–90°, by angle:
| 2theta | I_rel |
| --- | --- |
| 20.2 | 65 |
| 27.1 | 100 |
| 27.5 | 74 |
| 28.7 | 51 |
| 31.6 | 60 |
| 34.0 | 51 |
| 38.1 | 60 |
| 44.1 | 53 |

=====

Entry 2:
Tc3Ag: computed PXRD pattern (Cu Kα (λ = 1.5418 Å)), based on a crystal structure in Alexandria, relaxed with PBE.
Intensities are scaled so that the largest is 100.

Structure:
Lattice parameters (Å, degrees): 2.735 2.735 8.220 90.00 90.00 90.00
Atoms (fractional coordinates):
Tc (0.000, 0.000, 0.000)
Tc (0.500, 0.500, 0.229)
Tc (0.500, 0.500, 0.771)
Ag (0.000, 0.000, 0.500)

Most intense lines, 2θ = 15–90°, by angle:
| 2theta | I_rel |
| --- | --- |
| 39.6 | 100 |
| 44.1 | 17 |
| 47.0 | 33 |
| 66.4 | 21 |
| 68.6 | 10 |
| 78.0 | 10 |
| 82.2 | 23 |
| 85.2 | 9 |

=====

Entry 3:
CaAcBrO2: computed PXRD pattern (Cu Kα (λ = 1.5418 Å)), based on a crystal structure in Alexandria, relaxed with PBE.
Intensities are scaled so that the largest is 100.

Structure:
Lattice parameters (Å, degrees): 7.323 7.323 7.323 146.65 146.65 47.88
Atoms (fractional coordinates):
Ca (0.000, 0.000, 0.000)
Ac (0.344, 0.344, 0.000)
Br (0.686, 0.686, 0.000)
O (0.430, 0.930, 0.500)
O (0.930, 0.430, 0.500)

Most intense lines, 2θ = 15–90°, by angle:
| 2theta | I_rel |
| --- | --- |
| 22.2 | 39 |
| 29.2 | 100 |
| 30.1 | 38 |
| 33.0 | 17 |
| 39.9 | 14 |
| 43.1 | 21 |
| 51.2 | 24 |
| 52.9 | 38 |

=====

Entry 4:
MnIrS3: computed PXRD pattern (Cu Kα (λ = 1.5418 Å)), based on a crystal structure in Alexandria, relaxed with PBE.
Intensities are scaled so that the largest is 100.

Structure:
Lattice parameters (Å, degrees): 6.286 6.286 6.286 56.38 56.38 56.38
Atoms (fractional coordinates):
Mn (0.152, 0.152, 0.152)
Mn (0.848, 0.848, 0.848)
Ir (0.348, 0.348, 0.348)
Ir (0.652, 0.652, 0.652)
S (0.059, 0.752, 0.446)
S (0.248, 0.554, 0.941)
S (0.446, 0.059, 0.752)
S (0.554, 0.941, 0.248)
S (0.752, 0.446, 0.059)
S (0.941, 0.248, 0.554)

Most intense lines, 2θ = 15–90°, by angle:
| 2theta | I_rel |
| --- | --- |
| 16.8 | 48 |
| 18.1 | 48 |
| 20.6 | 55 |
| 28.5 | 94 |
| 30.1 | 96 |
| 34.7 | 82 |
| 46.1 | 100 |
| 53.5 | 54 |

=====

Entry 5:
ZnPd4Au4: computed PXRD pattern (Cu Kα (λ = 1.5418 Å)), based on a crystal structure in Alexandria, relaxed with PBE.
Intensities are scaled so that the largest is 100.

Structure:
Lattice parameters (Å, degrees): 6.338 6.338 6.338 96.01 96.01 142.25
Atoms (fractional coordinates):
Zn (0.000, 0.000, 0.000)
Pd (0.000, 0.332, 0.332)
Pd (0.000, 0.668, 0.668)
Pd (0.332, 0.000, 0.332)
Pd (0.668, 0.000, 0.668)
Au (0.334, 0.334, 0.669)
Au (0.334, 0.666, 0.000)
Au (0.666, 0.334, 0.000)
Au (0.666, 0.666, 0.331)

Most intense lines, 2θ = 15–90°, by angle:
| 2theta | I_rel |
| --- | --- |
| 38.7 | 100 |
| 44.2 | 17 |
| 45.4 | 32 |
| 65.2 | 22 |
| 66.1 | 10 |
| 77.6 | 13 |
| 79.3 | 25 |
| 83.0 | 11 |

=====

Entry 6:
Hg19As10Br18: computed PXRD pattern (Cu Kα (λ = 1.5418 Å)), based on a crystal structure in Alexandria, relaxed with PBE.
Intensities are scaled so that the largest is 100.

Structure:
Lattice parameters (Å, degrees): 11.567 11.641 12.774 106.46 106.14 108.21
Atoms (fractional coordinates):
Hg (0.000, 0.000, 0.000)
Hg (0.069, 0.417, 0.274)
Hg (0.073, 0.749, 0.189)
Hg (0.125, 0.130, 0.403)
Hg (0.202, 0.788, 0.590)
Hg (0.305, 0.503, 0.783)
Hg (0.307, 0.191, 0.897)
Hg (0.327, 0.886, 0.006)
Hg (0.369, 0.609, 0.176)
Hg (0.482, 0.695, 0.568)
Hg (0.518, 0.305, 0.432)
Hg (0.631, 0.391, 0.824)
Hg (0.673, 0.114, 0.994)
Hg (0.693, 0.809, 0.103)
Hg (0.695, 0.497, 0.217)
Hg (0.798, 0.212, 0.410)
Hg (0.875, 0.870, 0.597)
Hg (0.927, 0.251, 0.811)
Hg (0.931, 0.583, 0.726)
As (0.044, 0.798, 0.700)
As (0.168, 0.971, 0.904)
As (0.215, 0.644, 0.284)
As (0.364, 0.820, 0.486)
As (0.448, 0.414, 0.897)
As (0.552, 0.586, 0.103)
As (0.636, 0.180, 0.514)
As (0.785, 0.356, 0.716)
As (0.832, 0.029, 0.096)
As (0.956, 0.202, 0.300)
Br (0.041, 0.152, 0.660)
Br (0.116, 0.298, 0.019)
Br (0.138, 0.483, 0.587)
Br (0.170, 0.599, 0.934)
Br (0.219, 0.015, 0.224)
Br (0.337, 0.180, 0.577)
Br (0.381, 0.409, 0.331)
Br (0.463, 0.785, 0.865)
Br (0.498, 0.088, 0.795)
Br (0.502, 0.912, 0.205)
Br (0.537, 0.215, 0.135)
Br (0.619, 0.591, 0.669)
Br (0.663, 0.820, 0.423)
Br (0.781, 0.985, 0.776)
Br (0.830, 0.401, 0.066)
Br (0.862, 0.517, 0.413)
Br (0.884, 0.702, 0.981)
Br (0.959, 0.848, 0.340)

Most intense lines, 2θ = 15–90°, by angle:
| 2theta | I_rel |
| --- | --- |
| 21.0 | 32 |
| 24.0 | 14 |
| 24.5 | 13 |
| 24.7 | 42 |
| 28.6 | 100 |
| 28.6 | 13 |
| 30.5 | 13 |
| 42.4 | 21 |

=====

Entry 7:
PrDy7Hg2: computed PXRD pattern (Cu Kα (λ = 1.5418 Å)), based on a crystal structure in Alexandria, relaxed with PBE.
Intensities are scaled so that the largest is 100.

Structure:
Lattice parameters (Å, degrees): 8.802 8.802 5.408 90.00 90.00 117.59
Atoms (fractional coordinates):
Pr (0.000, 0.000, 0.000)
Dy (0.060, 0.306, 0.500)
Dy (0.242, 0.758, 0.000)
Dy (0.306, 0.060, 0.500)
Dy (0.500, 0.500, 0.500)
Dy (0.694, 0.940, 0.500)
Dy (0.758, 0.242, 0.000)
Dy (0.940, 0.694, 0.500)
Hg (0.305, 0.695, 0.500)
Hg (0.695, 0.305, 0.500)

Most intense lines, 2θ = 15–90°, by angle:
| 2theta | I_rel |
| --- | --- |
| 16.4 | 94 |
| 19.5 | 42 |
| 28.9 | 67 |
| 30.8 | 96 |
| 33.1 | 88 |
| 34.4 | 92 |
| 35.5 | 100 |
| 45.9 | 65 |

=====

Entry 8:
AcAl5Au7: computed PXRD pattern (Cu Kα (λ = 1.5418 Å)), based on a crystal structure in Alexandria, relaxed with PBE.
Intensities are scaled so that the largest is 100.

Structure:
Lattice parameters (Å, degrees): 7.172 7.172 7.172 134.11 97.19 100.31
Atoms (fractional coordinates):
Ac (0.000, 0.000, 0.000)
Al (0.001, 0.501, 0.013)
Al (0.001, 0.988, 0.500)
Al (0.488, 0.501, 0.500)
Al (0.488, 0.988, 0.987)
Al (0.757, 0.257, 0.500)
Au (0.177, 0.479, 0.699)
Au (0.230, 0.730, 0.500)
Au (0.338, 0.338, 0.000)
Au (0.355, 0.015, 0.340)
Au (0.672, 0.672, 0.000)
Au (0.675, 0.015, 0.660)
Au (0.780, 0.479, 0.301)

Most intense lines, 2θ = 15–90°, by angle:
| 2theta | I_rel |
| --- | --- |
| 27.0 | 41 |
| 32.0 | 98 |
| 32.5 | 100 |
| 33.3 | 54 |
| 38.1 | 95 |
| 38.5 | 70 |
| 42.4 | 48 |
| 70.3 | 35 |

=====

Entry 9:
SrBi2F7: computed PXRD pattern (Cu Kα (λ = 1.5418 Å)), based on a crystal structure in Alexandria, relaxed with PBE.
Intensities are scaled so that the largest is 100.

Structure:
Lattice parameters (Å, degrees): 11.762 11.762 11.762 20.32 20.32 20.32
Atoms (fractional coordinates):
Sr (0.000, 0.000, 0.000)
Bi (0.434, 0.434, 0.434)
Bi (0.566, 0.566, 0.566)
F (0.074, 0.074, 0.074)
F (0.218, 0.218, 0.218)
F (0.358, 0.358, 0.358)
F (0.500, 0.500, 0.500)
F (0.642, 0.642, 0.642)
F (0.782, 0.782, 0.782)
F (0.926, 0.926, 0.926)

Most intense lines, 2θ = 15–90°, by angle:
| 2theta | I_rel |
| --- | --- |
| 15.4 | 46 |
| 23.2 | 60 |
| 24.9 | 65 |
| 25.3 | 100 |
| 30.8 | 55 |
| 43.6 | 71 |
| 44.5 | 56 |
| 50.0 | 47 |

=====

Entry 10:
La3TbY3Se8: computed PXRD pattern (Cu Kα (λ = 1.5418 Å)), based on a crystal structure in Alexandria, relaxed with PBE.
Intensities are scaled so that the largest is 100.

Structure:
Lattice parameters (Å, degrees): 8.428 8.428 8.428 58.98 58.98 58.98
Atoms (fractional coordinates):
La (0.000, 0.500, 0.500)
La (0.500, 0.000, 0.500)
La (0.500, 0.500, 0.000)
Tb (0.500, 0.500, 0.500)
Y (0.000, 0.000, 0.500)
Y (0.000, 0.500, 0.000)
Y (0.500, 0.000, 0.000)
Se (0.241, 0.748, 0.748)
Se (0.244, 0.244, 0.244)
Se (0.252, 0.252, 0.759)
Se (0.252, 0.759, 0.252)
Se (0.748, 0.241, 0.748)
Se (0.748, 0.748, 0.241)
Se (0.756, 0.756, 0.756)
Se (0.759, 0.252, 0.252)

Most intense lines, 2θ = 15–90°, by angle:
| 2theta | I_rel |
| --- | --- |
| 30.2 | 100 |
| 42.9 | 37 |
| 43.6 | 36 |
| 54.0 | 19 |
| 62.9 | 12 |
| 70.8 | 16 |
| 71.8 | 16 |
| 79.7 | 12 |

=====

Entry 11:
La3Nd7Ho2: computed PXRD pattern (Cu Kα (λ = 1.5418 Å)), based on a crystal structure in Alexandria, relaxed with PBE.
Intensities are scaled so that the largest is 100.

Structure:
Lattice parameters (Å, degrees): 6.004 3.655 19.419 90.00 93.03 90.00
Atoms (fractional coordinates):
La (0.000, 0.000, 0.000)
La (0.277, 0.500, 0.634)
La (0.723, 0.500, 0.366)
Nd (0.190, 0.500, 0.146)
Nd (0.244, 0.000, 0.464)
Nd (0.307, 0.000, 0.820)
Nd (0.500, 0.500, 0.000)
Nd (0.693, 0.000, 0.180)
Nd (0.756, 0.000, 0.536)
Nd (0.810, 0.500, 0.854)
Ho (0.214, 0.000, 0.294)
Ho (0.786, 0.000, 0.706)

Most intense lines, 2θ = 15–90°, by angle:
| 2theta | I_rel |
| --- | --- |
| 27.6 | 30 |
| 29.8 | 57 |
| 29.9 | 36 |
| 30.3 | 100 |
| 30.7 | 71 |
| 32.2 | 47 |
| 33.7 | 34 |
| 52.6 | 28 |

=====

Entry 12:
Tb12Dy5Er: computed PXRD pattern (Cu Kα (λ = 1.5418 Å)), based on a crystal structure in Alexandria, relaxed with PBE.
Intensities are scaled so that the largest is 100.

Structure:
Lattice parameters (Å, degrees): 10.624 5.013 10.639 90.00 90.11 90.00
Atoms (fractional coordinates):
Tb (0.000, 0.000, 0.167)
Tb (0.000, 0.000, 0.833)
Tb (0.166, 0.500, 0.666)
Tb (0.167, 0.500, 0.000)
Tb (0.333, 0.000, 0.500)
Tb (0.333, 0.000, 0.833)
Tb (0.500, 0.500, 0.333)
Tb (0.500, 0.500, 0.667)
Tb (0.667, 0.000, 0.167)
Tb (0.667, 0.000, 0.500)
Tb (0.833, 0.500, 0.000)
Tb (0.834, 0.500, 0.334)
Dy (0.166, 0.500, 0.334)
Dy (0.333, 0.000, 0.167)
Dy (0.500, 0.500, 0.000)
Dy (0.667, 0.000, 0.833)
Dy (0.834, 0.500, 0.666)
Er (0.000, 0.000, 0.500)

Most intense lines, 2θ = 15–90°, by angle:
| 2theta | I_rel |
| --- | --- |
| 30.9 | 100 |
| 35.8 | 51 |
| 51.6 | 36 |
| 61.3 | 36 |
| 61.4 | 7 |
| 64.4 | 12 |
| 84.2 | 12 |
| 87.0 | 8 |

=====

Entry 13:
BaLi6Pt2: computed PXRD pattern (Cu Kα (λ = 1.5418 Å)), based on a crystal structure in Alexandria, relaxed with PBE.
Intensities are scaled so that the largest is 100.

Structure:
Lattice parameters (Å, degrees): 4.453 4.453 9.123 90.00 90.00 90.00
Atoms (fractional coordinates):
Ba (0.000, 0.000, 0.000)
Li (0.000, 0.000, 0.500)
Li (0.000, 0.500, 0.293)
Li (0.000, 0.500, 0.707)
Li (0.500, 0.000, 0.293)
Li (0.500, 0.000, 0.707)
Li (0.500, 0.500, 0.500)
Pt (0.500, 0.500, 0.147)
Pt (0.500, 0.500, 0.853)

Most intense lines, 2θ = 15–90°, by angle:
| 2theta | I_rel |
| --- | --- |
| 19.9 | 56 |
| 28.0 | 45 |
| 28.3 | 98 |
| 30.0 | 85 |
| 35.8 | 100 |
| 40.5 | 44 |
| 44.6 | 47 |
| 55.1 | 58 |